Calculated X-ray powder pattern of Pm4NdIn3 for Cu Kα, 1.54184 Å, from the PBE geometry in Alexandria.

Structure:
a b c (Å): 9.752 9.752 9.752
angles (deg): 32.76 32.76 32.76
Sites, in units of the cell vectors:
Pm (0.115, 0.115, 0.115)
Pm (0.369, 0.369, 0.369)
Pm (0.631, 0.631, 0.631)
Pm (0.885, 0.885, 0.885)
Nd (0.500, 0.500, 0.500)
In (0.000, 0.000, 0.000)
In (0.240, 0.240, 0.240)
In (0.760, 0.760, 0.760)

Largest 10 diffraction maxima, low angle first, 10° ≤ 2θ ≤ 90°:
Position (°2θ)  d [Å]  I_rel
29.37  3.041  9.2
31.99  2.798  89.7
32.56  2.750  100.0
46.29  1.961  31.9
56.64  1.625  10.5
57.74  1.597  32.9
58.10  1.588  18.9
60.44  1.532  8.9
68.21  1.375  11.7
77.33  1.234  13.9



Calculated X-ray powder pattern of CuPdPtRh for Cu Kα, 1.54184 Å, from the PBE geometry in Alexandria.

Structure:
a b c (Å): 2.770 2.770 7.534
angles (deg): 90.00 90.00 90.00
Sites, in units of the cell vectors:
Cu (0.000, 0.000, 0.000)
Pd (0.500, 0.500, 0.240)
Pt (0.500, 0.500, 0.759)
Rh (0.000, 0.000, 0.500)

Largest 10 diffraction maxima, low angle first, 10° ≤ 2θ ≤ 90°:
Position (°2θ)  d [Å]  I_rel
11.75  7.534  14.7
34.50  2.600  6.7
40.42  2.231  100.0
46.36  1.959  33.9
48.33  1.883  14.5
67.65  1.385  10.8
69.21  1.358  19.5
81.86  1.177  25.1
84.77  1.144  10.9
87.41  1.116  10.6



Calculated X-ray powder pattern of Nd4N2O for Cu Kα, 1.54184 Å, from the PBE geometry in Alexandria.

Structure:
a b c (Å): 12.487 12.487 12.487
angles (deg): 16.64 16.64 16.64
Sites, in units of the cell vectors:
Nd (0.118, 0.118, 0.118)
Nd (0.292, 0.292, 0.292)
Nd (0.708, 0.708, 0.708)
Nd (0.882, 0.882, 0.882)
N (0.413, 0.413, 0.413)
N (0.587, 0.587, 0.587)
O (0.000, 0.000, 0.000)

Largest 10 diffraction maxima, low angle first, 10° ≤ 2θ ≤ 90°:
Position (°2θ)  d [Å]  I_rel
28.99  3.080  62.2
31.04  2.881  100.0
33.29  2.692  73.9
37.68  2.388  42.6
50.52  1.807  42.3
51.18  1.785  39.8
59.31  1.558  38.3
60.48  1.531  15.6
74.77  1.270  12.4
82.61  1.168  13.2



Calculated X-ray powder pattern of BeZnInNiPd for Cu Kα, 1.54184 Å, from the PBE geometry in Alexandria.

Structure:
a b c (Å): 3.952 3.952 5.591
angles (deg): 90.00 90.00 120.00
Sites, in units of the cell vectors:
Be (0.000, 0.000, 0.000)
Zn (0.667, 0.333, 0.711)
In (0.333, 0.667, 0.430)
Ni (0.333, 0.667, 0.915)
Pd (0.667, 0.333, 0.166)

Largest 10 diffraction maxima, low angle first, 10° ≤ 2θ ≤ 90°:
Position (°2θ)  d [Å]  I_rel
26.03  3.423  57.9
30.62  2.919  15.5
41.72  2.165  100.0
45.92  1.976  54.0
53.55  1.711  7.6
56.20  1.637  5.4
63.76  1.460  27.0
73.14  1.294  11.2
82.08  1.174  25.9
85.00  1.141  22.3



Calculated X-ray powder pattern of Na5Al3F14 for Cu Kα, 1.54184 Å, from the PBE geometry in Alexandria.

Structure:
a b c (Å): 7.111 7.111 10.548
angles (deg): 90.00 90.00 90.00
Sites, in units of the cell vectors:
Na (0.000, 0.000, 0.000)
Na (0.225, 0.275, 0.250)
Na (0.225, 0.275, 0.750)
Na (0.275, 0.775, 0.250)
Na (0.275, 0.775, 0.750)
Na (0.500, 0.500, 0.500)
Na (0.725, 0.225, 0.250)
Na (0.725, 0.225, 0.750)
Na (0.775, 0.725, 0.250)
Na (0.775, 0.725, 0.750)
Al (0.000, 0.000, 0.500)
Al (0.000, 0.500, 0.000)
Al (0.000, 0.500, 0.500)
Al (0.500, 0.000, 0.000)
Al (0.500, 0.000, 0.500)
Al (0.500, 0.500, 0.000)
F (0.000, 0.000, 0.328)
F (0.000, 0.000, 0.672)
F (0.035, 0.680, 0.120)
F (0.035, 0.680, 0.880)
F (0.064, 0.248, 0.500)
F (0.180, 0.535, 0.380)
F (0.180, 0.535, 0.620)
F (0.248, 0.936, 0.500)
F (0.252, 0.436, 0.000)
F (0.320, 0.035, 0.120)
F (0.320, 0.035, 0.880)
F (0.436, 0.748, 0.000)
F (0.465, 0.180, 0.380)
F (0.465, 0.180, 0.620)
F (0.500, 0.500, 0.172)
F (0.500, 0.500, 0.828)
F (0.535, 0.820, 0.380)
F (0.535, 0.820, 0.620)
F (0.564, 0.252, 0.000)
F (0.680, 0.965, 0.120)
F (0.680, 0.965, 0.880)
F (0.748, 0.564, 0.000)
F (0.752, 0.064, 0.500)
F (0.820, 0.465, 0.380)
F (0.820, 0.465, 0.620)
F (0.936, 0.752, 0.500)
F (0.965, 0.320, 0.120)
F (0.965, 0.320, 0.880)

Largest 10 diffraction maxima, low angle first, 10° ≤ 2θ ≤ 90°:
Position (°2θ)  d [Å]  I_rel
16.81  5.274  26.2
30.32  2.948  100.0
38.16  2.358  57.2
41.04  2.199  22.1
44.64  2.030  22.9
50.13  1.820  37.7
51.40  1.778  32.1
58.58  1.576  33.3
60.85  1.522  30.3
81.65  1.179  21.3



Calculated X-ray powder pattern of Cs3Tl5Cd2 for Cu Kα, 1.54184 Å, from the PBE geometry in Alexandria.

Structure:
a b c (Å): 11.047 11.047 11.047
angles (deg): 106.36 88.54 138.05
Sites, in units of the cell vectors:
Cs (0.118, 0.733, 0.851)
Cs (0.250, 0.250, 0.000)
Cs (0.382, 0.233, 0.614)
Cs (0.618, 0.767, 0.386)
Cs (0.750, 0.750, 0.000)
Cs (0.882, 0.267, 0.149)
Tl (0.003, 0.250, 0.753)
Tl (0.131, 0.380, 0.511)
Tl (0.250, 0.750, 0.500)
Tl (0.369, 0.880, 0.249)
Tl (0.497, 0.250, 0.247)
Tl (0.503, 0.750, 0.753)
Tl (0.631, 0.120, 0.751)
Tl (0.750, 0.250, 0.500)
Tl (0.869, 0.620, 0.489)
Tl (0.997, 0.750, 0.247)
Cd (0.159, 0.153, 0.312)
Cd (0.341, 0.653, 0.994)
Cd (0.659, 0.347, 0.006)
Cd (0.841, 0.847, 0.688)

Largest 10 diffraction maxima, low angle first, 10° ≤ 2θ ≤ 90°:
Position (°2θ)  d [Å]  I_rel
13.37  6.620  19.2
25.71  3.464  36.7
26.25  3.395  100.0
32.01  2.796  66.8
35.36  2.538  47.0
37.58  2.393  16.3
41.50  2.176  19.9
45.90  1.977  23.0
53.64  1.709  25.2
59.24  1.560  17.6



Calculated X-ray powder pattern of Ga2CuAu for Cu Kα, 1.54184 Å, from the PBE geometry in Alexandria.

Structure:
a b c (Å): 4.872 4.872 3.144
angles (deg): 108.52 108.52 82.03
Sites, in units of the cell vectors:
Ga (0.194, 0.194, 0.196)
Ga (0.806, 0.806, 0.804)
Cu (0.744, 0.256, 0.500)
Au (0.378, 0.622, 0.000)

Largest 10 diffraction maxima, low angle first, 10° ≤ 2θ ≤ 90°:
Position (°2θ)  d [Å]  I_rel
19.23  4.615  86.6
27.91  3.197  60.6
31.72  2.821  84.5
39.03  2.308  75.7
41.80  2.161  100.0
42.09  2.147  96.9
42.48  2.128  51.4
42.62  2.121  51.7
43.08  2.100  68.3
44.63  2.030  64.6



Calculated X-ray powder pattern of Pm7Nd3Sc for Cu Kα, 1.54184 Å, from the PBE geometry in Alexandria.

Structure:
a b c (Å): 10.326 10.326 12.716
angles (deg): 115.46 115.46 40.46
Sites, in units of the cell vectors:
Pm (0.077, 0.597, 0.979)
Pm (0.082, 0.584, 0.473)
Pm (0.185, 0.815, 0.750)
Pm (0.339, 0.344, 0.725)
Pm (0.344, 0.339, 0.225)
Pm (0.403, 0.923, 0.521)
Pm (0.416, 0.918, 0.027)
Pm (0.584, 0.082, 0.973)
Pm (0.597, 0.077, 0.479)
Pm (0.656, 0.661, 0.775)
Pm (0.661, 0.656, 0.275)
Pm (0.815, 0.185, 0.250)
Pm (0.918, 0.416, 0.527)
Pm (0.923, 0.403, 0.021)
Nd (0.166, 0.175, 0.770)
Nd (0.175, 0.166, 0.270)
Nd (0.500, 0.500, 0.000)
Nd (0.500, 0.500, 0.500)
Nd (0.825, 0.834, 0.730)
Nd (0.834, 0.825, 0.230)
Sc (0.000, 0.000, 0.000)
Sc (0.000, 0.000, 0.500)

Largest 10 diffraction maxima, low angle first, 10° ≤ 2θ ≤ 90°:
Position (°2θ)  d [Å]  I_rel
28.81  3.099  53.2
29.59  3.019  65.3
31.15  2.871  86.7
31.66  2.826  63.3
31.77  2.817  100.0
32.74  2.736  53.6
33.78  2.653  77.8
37.59  2.393  29.6
50.06  1.822  41.8
59.54  1.553  25.1